This entry pairs a crystal structure of TbSc2Sn2 with its theoretical XRD peak list. Radiation: copper Kα. Structure: a cell relaxed with PBE.
Intensities are scaled so that the largest is 100.

Structural model:
```
data_TbSc2Sn2
_chemical_formula_sum 'Tb3 Sc6 Sn6'
_cell_length_a 4.9772
_cell_length_b 4.9772
_cell_length_c 17.2171
_cell_angle_alpha 90.00
_cell_angle_beta 90.00
_cell_angle_gamma 120.00
_symmetry_space_group_name_H-M 'R -3 m'
_symmetry_Int_Tables_number 166
_symmetry_space_group_name_Hall '-R 3 2"'
loop_
_atom_site_label
_atom_site_type_symbol
_atom_site_fract_x
_atom_site_fract_y
_atom_site_fract_z
Tb1 Tb 0.0000 0.0000 0.0000
Sc1 Sc 0.0000 0.0000 0.2043
Sn1 Sn 0.0000 0.0000 0.4106
```

Largest 10 diffraction maxima, sorted by position, 2θ = 10–90°:
hkl	2θ/deg	I/Imax
0 1 2	23.1	38
0 1 5	33.3	100
1 1 0	36.1	85
1 0 7	42.3	15
2 0 5	49.9	32
1 0 10	57.6	24
1 2 5	63.1	32
3 0 0	64.9	15
2 2 0	76.6	17
2 1 10	81.3	16

---

This entry pairs a crystal structure of Tb5Sc2Sn5 with its theoretical XRD peak list. Radiation: copper Kα. Structure: a cell relaxed with PBE.
Intensities are scaled so that the largest is 100.

Structural model:
```
data_Tb5Sc2Sn5
_chemical_formula_sum 'Tb10 Sc4 Sn10'
_cell_length_a 12.425
_cell_length_b 4.671
_cell_length_c 12.939
_cell_angle_alpha 90.00
_cell_angle_beta 116.55
_cell_angle_gamma 90.00
_symmetry_space_group_name_H-M 'C 1 2/m 1'
_symmetry_Int_Tables_number 12
_symmetry_space_group_name_Hall '-C 2y'
loop_
_atom_site_label
_atom_site_type_symbol
_atom_site_fract_x
_atom_site_fract_y
_atom_site_fract_z
Tb1 Tb 0.000 0.000 0.000
Tb2 Tb 0.159 0.000 0.515
Tb3 Tb 0.184 0.000 0.793
Sc1 Sc 0.048 0.500 0.288
Sn1 Sn 0.000 0.500 0.500
Sn2 Sn 0.145 0.500 0.942
Sn3 Sn 0.189 0.000 0.284
```

Largest 10 diffraction maxima, sorted by position, 2θ = 10–90°:
hkl	2θ/deg	I/Imax
2 0 2	26.7	41
3 1 -1	29.0	75
3 1 -2	29.2	49
0 0 4	30.9	100
3 1 -3	31.4	84
1 1 -4	34.2	79
3 1 1	34.4	59
3 1 -4	35.3	35
0 2 0	38.6	71
6 0 -4	44.8	37

---

This entry pairs a crystal structure of ScSn2Te4 with its theoretical XRD peak list. Radiation: copper Kα. Structure: a cell relaxed with PBE.
Intensities are scaled so that the largest is 100.

Structural model:
```
data_ScSn2Te4
_chemical_formula_sum 'Sc4 Sn8 Te16'
_cell_length_a 4.164
_cell_length_b 14.587
_cell_length_c 14.614
_cell_angle_alpha 90.00
_cell_angle_beta 90.00
_cell_angle_gamma 90.00
_symmetry_space_group_name_H-M 'C m c m'
_symmetry_Int_Tables_number 63
_symmetry_space_group_name_Hall '-C 2c 2'
loop_
_atom_site_label
_atom_site_type_symbol
_atom_site_fract_x
_atom_site_fract_y
_atom_site_fract_z
Sc1 Sc 0.000 0.116 0.250
Sn1 Sn 0.000 0.365 0.070
Te1 Te 0.000 0.000 0.000
Te2 Te 0.000 0.289 0.630
Te3 Te 0.000 0.474 0.250
```

Largest 10 diffraction maxima, sorted by position, 2θ = 10–90°:
hkl	2θ/deg	I/Imax
0 2 4	27.3	100
1 3 0	28.2	51
1 3 1	28.9	64
1 3 2	30.8	91
1 1 5	38.1	59
1 5 2	39.7	36
0 6 3	41.5	39
2 0 0	43.5	68
2 2 4	52.1	33
2 6 3	61.7	32

---

This entry pairs a crystal structure of Sc4SnTe2 with its theoretical XRD peak list. Radiation: copper Kα. Structure: a cell relaxed with PBE.
Intensities are scaled so that the largest is 100.

Structural model:
```
data_Sc4SnTe2
_chemical_formula_sum 'Sc32 Sn8 Te16'
_cell_length_a 8.842
_cell_length_b 12.832
_cell_length_c 12.873
_cell_angle_alpha 90.00
_cell_angle_beta 90.00
_cell_angle_gamma 90.00
_symmetry_space_group_name_H-M 'F d d d'
_symmetry_Int_Tables_number 70
loop_
_symmetry_equiv_pos_as_xyz
'x,y,z'
'-x,-y,-z'
'-x+1/4,-y+1/4,z'
'x+1/4,y+1/4,-z'
'x,-y+1/4,-z+1/4'
'-x,y+1/4,z+1/4'
'-x+1/4,y,-z+1/4'
'x+1/4,-y,z+1/4'
'x,y+1/2,z+1/2'
'-x,-y+1/2,-z+1/2'
'-x+1/4,-y+3/4,z+1/2'
'x+1/4,y+3/4,-z+1/2'
'x,-y+3/4,-z+3/4'
'-x,y+3/4,z+3/4'
'-x+1/4,y+1/2,-z+3/4'
'x+1/4,-y+1/2,z+3/4'
'x+1/2,y,z+1/2'
'-x+1/2,-y,-z+1/2'
'-x+3/4,-y+1/4,z+1/2'
'x+3/4,y+1/4,-z+1/2'
'x+1/2,-y+1/4,-z+3/4'
'-x+1/2,y+1/4,z+3/4'
'-x+3/4,y,-z+3/4'
'x+3/4,-y,z+3/4'
'x+1/2,y+1/2,z'
'-x+1/2,-y+1/2,-z'
'-x+3/4,-y+3/4,z'
'x+3/4,y+3/4,-z'
'x+1/2,-y+3/4,-z+1/4'
'-x+1/2,y+3/4,z+1/4'
'-x+3/4,y+1/2,-z+1/4'
'x+3/4,-y+1/2,z+1/4'
loop_
_atom_site_label
_atom_site_type_symbol
_atom_site_fract_x
_atom_site_fract_y
_atom_site_fract_z
Sc1 Sc 0.073 0.281 0.469
Sn1 Sn 0.125 0.125 0.625
Te1 Te 0.000 0.000 0.000
```

Largest 10 diffraction maxima, sorted by position, 2θ = 10–90°:
hkl	2θ/deg	I/Imax
0 2 2	19.5	39
1 3 1	24.1	98
0 4 0	27.8	51
3 1 1	31.9	100
1 1 5	37.0	47
1 5 1	37.1	46
2 4 2	37.3	36
0 4 4	39.7	63
3 3 3	42.8	38
4 0 4	50.1	35